Structure and calculated powder diffraction line list of MoCl4 (DFT lattice parameters and positions (PBE); CuKα).
Peak positions follow from Bragg's law for the DFT cell and can differ from measured ones.

Cell and atoms:
```
MoCl4
1.0
6.3971 0.0000 0.0000
0.0000 11.1446 0.0000
-6.3041 0.0000 11.9698
Mo Cl
6 24
Direct
0.0000 0.0784 0.2500
0.0000 0.9216 0.7500
0.5000 0.2537 0.2500
0.5000 0.4045 0.7500
0.5000 0.5955 0.2500
0.5000 0.7463 0.7500
0.0249 0.0582 0.6316
0.0249 0.9418 0.1316
0.0677 0.2418 0.1411
0.0677 0.7582 0.6411
0.1016 0.4308 0.6456
0.1016 0.5692 0.1456
0.4328 0.1009 0.3653
0.4328 0.8991 0.8653
0.4693 0.2700 0.8682
0.4693 0.7300 0.3682
0.4799 0.4141 0.3661
0.4799 0.5859 0.8661
0.5201 0.4141 0.1339
0.5201 0.5859 0.6339
0.5307 0.2700 0.6318
0.5307 0.7300 0.1318
0.5672 0.1009 0.1347
0.5672 0.8991 0.6347
0.8984 0.4308 0.8544
0.8984 0.5692 0.3544
0.9323 0.2418 0.3589
0.9323 0.7582 0.8589
0.9751 0.0582 0.8684
0.9751 0.9418 0.3684
```

Largest 12 diffraction maxima, by angle, 2θ from 10° to 90°:
d = 8.157 Å, I = 37; d = 5.985 Å, I = 100; d = 5.049 Å, I = 87; d = 5.021 Å, I = 43; d = 3.967 Å, I = 22; d = 2.830 Å, I = 47; d = 2.826 Å, I = 90; d = 2.194 Å, I = 38; d = 2.185 Å, I = 38; d = 1.858 Å, I = 17; d = 1.849 Å, I = 27; d = 1.698 Å, I = 22

Structure and calculated powder diffraction line list of MoCl5 (DFT lattice parameters and positions (PBE); CuKα).
Peak positions follow from Bragg's law for the DFT cell and can differ from measured ones.

Cell and atoms:
```
MoCl5
1.0
12.3576 0.0000 0.0000
0.0000 18.2676 0.0000
0.0000 0.0000 6.4882
Mo Cl
8 40
Direct
0.1245 0.1435 0.0901
0.1245 0.3565 0.0901
0.3755 0.6435 0.5901
0.3755 0.8565 0.5901
0.6245 0.1435 0.4099
0.6245 0.3565 0.4099
0.8755 0.6435 0.9099
0.8755 0.8565 0.9099
0.0099 0.1560 0.8160
0.0099 0.3440 0.8160
0.0164 0.0610 0.2525
0.0164 0.4390 0.2525
0.0208 0.2500 0.2463
0.2288 0.2500 0.9347
0.2328 0.0617 0.9256
0.2328 0.4383 0.9256
0.2379 0.1555 0.3659
0.2379 0.3445 0.3659
0.2621 0.6555 0.8659
0.2621 0.8445 0.8659
0.2672 0.5617 0.4256
0.2672 0.9383 0.4256
0.2712 0.7500 0.4347
0.4792 0.7500 0.7463
0.4836 0.5610 0.7525
0.4836 0.9390 0.7525
0.4901 0.6560 0.3160
0.4901 0.8440 0.3160
0.5099 0.1560 0.6840
0.5099 0.3440 0.6840
0.5164 0.0610 0.2475
0.5164 0.4390 0.2475
0.5208 0.2500 0.2537
0.7288 0.2500 0.5653
0.7328 0.0617 0.5744
0.7328 0.4383 0.5744
0.7379 0.1555 0.1341
0.7379 0.3445 0.1341
0.7621 0.6555 0.6341
0.7621 0.8445 0.6341
0.7672 0.5617 0.0744
0.7672 0.9383 0.0744
0.7712 0.7500 0.0653
0.9792 0.7500 0.7537
0.9836 0.5610 0.7475
0.9836 0.9390 0.7475
0.9901 0.6560 0.1840
0.9901 0.8440 0.1840
```

Largest 12 diffraction maxima, by angle, 2θ from 10° to 90°:
d = 6.114 Å, I = 32; d = 5.853 Å, I = 100; d = 5.745 Å, I = 56; d = 5.480 Å, I = 52; d = 4.567 Å, I = 28; d = 3.575 Å, I = 21; d = 2.872 Å, I = 18; d = 2.830 Å, I = 56; d = 2.549 Å, I = 20; d = 2.520 Å, I = 43; d = 1.953 Å, I = 23; d = 1.862 Å, I = 30

Structure and calculated powder diffraction line list of MoCl3 (DFT lattice parameters and positions (PBE); CuKα).
Peak positions follow from Bragg's law for the DFT cell and can differ from measured ones.

Cell and atoms:
```
MoCl3
1.0
6.3890 0.0000 0.0000
-3.1945 5.5330 0.0000
0.0000 0.0000 25.1619
Mo Cl
8 24
Direct
0.0000 0.0000 0.2500
0.0000 0.0000 0.7500
0.3333 0.6667 0.0006
0.3333 0.6667 0.4994
0.3333 0.6667 0.7500
0.6667 0.3333 0.2500
0.6667 0.3333 0.5006
0.6667 0.3333 0.9994
0.0006 0.3607 0.9450
0.0006 0.6399 0.5550
0.0255 0.3346 0.6952
0.0255 0.6910 0.8048
0.3090 0.3346 0.8048
0.3090 0.9745 0.6952
0.3346 0.0255 0.1952
0.3346 0.3090 0.3048
0.3601 0.3607 0.5550
0.3601 0.9994 0.9450
0.3607 0.0006 0.4450
0.3607 0.3601 0.0550
0.6393 0.6399 0.9450
0.6393 0.9994 0.5550
0.6399 0.0006 0.0550
0.6399 0.6393 0.4450
0.6654 0.6910 0.6952
0.6654 0.9745 0.8048
0.6910 0.0255 0.3048
0.6910 0.6654 0.1952
0.9745 0.3090 0.1952
0.9745 0.6654 0.3048
0.9994 0.3601 0.4450
0.9994 0.6393 0.0550
```

Largest 12 diffraction maxima, by angle, 2θ from 10° to 90°:
d = 6.290 Å, I = 100; d = 5.404 Å, I = 19; d = 5.065 Å, I = 46; d = 4.619 Å, I = 12; d = 2.848 Å, I = 93; d = 2.241 Å, I = 65; d = 1.844 Å, I = 29; d = 1.770 Å, I = 19; d = 1.753 Å, I = 28; d = 1.548 Å, I = 12; d = 1.424 Å, I = 13; d = 1.127 Å, I = 12

Structure and calculated powder diffraction line list of MoCl4 (DFT lattice parameters and positions (PBE); CuKα).
Peak positions follow from Bragg's law for the DFT cell and can differ from measured ones.

Cell and atoms:
```
MoCl4
1.0
12.6467 0.0000 0.0000
-6.3233 10.9523 0.0000
0.0000 0.0000 6.3882
Mo Cl
6 24
Direct
0.1721 0.3443 0.0000
0.1721 0.8279 0.0000
0.3443 0.1721 0.0000
0.6557 0.8279 0.0000
0.8279 0.1721 0.0000
0.8279 0.6557 0.0000
0.0000 0.1720 0.8044
0.0000 0.3261 0.2099
0.0000 0.6739 0.7901
0.0000 0.8280 0.1956
0.1712 0.4792 0.7672
0.1712 0.6920 0.2328
0.1720 0.0000 0.8044
0.1720 0.1720 0.1956
0.3080 0.4792 0.2328
0.3080 0.8288 0.7672
0.3261 0.0000 0.2099
0.3261 0.3261 0.7901
0.4792 0.1712 0.7672
0.4792 0.3080 0.2328
0.5208 0.6920 0.7672
0.5208 0.8288 0.2328
0.6739 0.0000 0.7901
0.6739 0.6739 0.2099
0.6920 0.1712 0.2328
0.6920 0.5208 0.7672
0.8280 0.0000 0.1956
0.8280 0.8280 0.8044
0.8288 0.3080 0.7672
0.8288 0.5208 0.2328
```

Largest 12 diffraction maxima, by angle, 2θ from 10° to 90°:
d = 6.388 Å, I = 100; d = 6.323 Å, I = 27; d = 5.476 Å, I = 47; d = 4.494 Å, I = 19; d = 4.152 Å, I = 48; d = 2.834 Å, I = 100; d = 2.247 Å, I = 65; d = 1.825 Å, I = 28; d = 1.766 Å, I = 29; d = 1.755 Å, I = 17; d = 1.534 Å, I = 13; d = 1.417 Å, I = 12

Structure and calculated powder diffraction line list of MoCl3 (DFT lattice parameters and positions (PBE); CuKα).
Peak positions follow from Bragg's law for the DFT cell and can differ from measured ones.

Cell and atoms:
```
MoCl3
1.0
3.1412 -5.0181 0.0000
3.1412 5.0181 0.0000
-2.0971 0.0000 6.6363
Mo Cl
2 6
Direct
0.1463 0.8537 0.0000
0.8537 0.1463 0.0000
0.0922 0.4331 0.8015
0.2318 0.2318 0.2491
0.4331 0.0922 0.8015
0.5669 0.9078 0.1985
0.7682 0.7682 0.7509
0.9078 0.5669 0.1985
```

Largest 12 diffraction maxima, by angle, 2θ from 10° to 90°:
d = 6.636 Å, I = 100; d = 5.144 Å, I = 27; d = 4.696 Å, I = 23; d = 2.921 Å, I = 12; d = 2.657 Å, I = 26; d = 2.539 Å, I = 44; d = 2.509 Å, I = 11; d = 2.049 Å, I = 15; d = 1.950 Å, I = 11; d = 1.903 Å, I = 14; d = 1.775 Å, I = 14; d = 1.715 Å, I = 12

Structure and calculated powder diffraction line list of MoN2Cl6 (DFT lattice parameters and positions (PBE); CuKα).
Peak positions follow from Bragg's law for the DFT cell and can differ from measured ones.

Cell and atoms:
```
MoN2Cl6
1.0
0.0000 5.1120 5.1120
5.1120 0.0000 5.1120
5.1120 5.1120 0.0000
Mo N Cl
1 2 6
Direct
0.0000 0.0000 0.0000
0.2500 0.2500 0.2500
0.7500 0.7500 0.7500
0.2263 0.2263 0.7737
0.2263 0.7737 0.2263
0.2263 0.7737 0.7737
0.7737 0.2263 0.2263
0.7737 0.2263 0.7737
0.7737 0.7737 0.2263
```

Largest 12 diffraction maxima, by angle, 2θ from 10° to 90°:
d = 5.903 Å, I = 100; d = 5.112 Å, I = 66; d = 3.083 Å, I = 27; d = 2.951 Å, I = 20; d = 2.556 Å, I = 55; d = 2.286 Å, I = 26; d = 1.968 Å, I = 25; d = 1.807 Å, I = 31; d = 1.728 Å, I = 19; d = 1.704 Å, I = 13; d = 1.432 Å, I = 14; d = 1.143 Å, I = 11